Diffraction record for Mn8PbO16. The powder X-ray diffraction pattern is calculated, not measured: it uses DFT lattice parameters and positions (PBE+U) and a wavelength of 1.5418 Å.

Largest 10 diffraction maxima, in order of rising 2θ, 10 to 80 degrees two-theta:
hkl, 2θ (°), intensity
1 0 0, 15.6, 77
1 0 1, 17.7, 52
1 1 0, 18.0, 52
1 -1 1, 23.5, 55
0 1 -2, 27.7, 48
0 2 -1, 28.1, 88
0 1 2, 28.8, 100
0 2 1, 29.1, 57
2 -1 1, 36.2, 78
-2 2 1, 49.4, 58

Structural model:
```
data_Mn8PbO16
_cell_length_a 5.9597
_cell_length_b 7.0999
_cell_length_c 7.2702
_cell_angle_alpha 89.92
_cell_angle_beta 77.59
_cell_angle_gamma 78.15
_space_group_name_H-M_alt 'P 1'
_space_group_IT_number 1
_space_group_name_Hall 'P 1'
loop_
_atom_site_label
_atom_site_fract_x
_atom_site_fract_y
_atom_site_fract_z
_atom_site_occupancy
Mn1 0.0000 0.0000 0.0000 1
Mn2 0.0814 0.3088 0.3485 1
Mn3 0.2551 0.6767 0.2964 1
Mn4 0.3421 0.9919 0.6350 1
Mn5 0.5016 0.9995 0.9997 1
Mn6 0.5831 0.3092 0.3317 1
Mn7 0.7544 0.6756 0.2915 1
Mn8 0.8442 0.9761 0.6327 1
Pb1 0.4208 0.5330 0.7660 1
O1 0.0733 0.5278 0.1804 1
O2 0.0802 0.1294 0.5439 1
O3 0.1247 0.8382 0.7620 1
O4 0.2502 0.1361 0.8774 1
O5 0.2621 0.8533 0.0943 1
O6 0.2784 0.4651 0.4666 1
O7 0.4032 0.1852 0.2041 1
O8 0.4420 0.8009 0.4258 1
O9 0.5671 0.1430 0.5391 1
O10 0.5698 0.5347 0.1691 1
O11 0.5871 0.8451 0.7539 1
O12 0.7453 0.4642 0.4641 1
O13 0.7505 0.1253 0.8751 1
O14 0.7650 0.8498 0.0887 1
O15 0.8929 0.1832 0.2075 1
O16 0.9409 0.7973 0.4202 1
```